No. 1
For Mn2Sb, the GGA-PBE geometry in the Materials Project gives the computed powder XRD pattern in this record (CuKα).

Structural model:
```
data_Mn2Sb
_chemical_formula_sum 'Mn4 Sb2'
_cell_length_a 4.5275
_cell_length_b 4.5275
_cell_length_c 5.4920
_cell_angle_alpha 90.00
_cell_angle_beta 90.00
_cell_angle_gamma 120.00
_space_group_name_H-M_alt 'P 63/m m c'
_space_group_IT_number 194
_space_group_name_Hall '-P 6c 2c'
loop_
_atom_site_label
_atom_site_type_symbol
_atom_site_fract_x
_atom_site_fract_y
_atom_site_fract_z
Mn1 Mn 0.0000 0.0000 0.0000
Mn2 Mn 0.3333 0.6667 0.2500
Sb1 Sb 0.3333 0.6667 0.7500
```

Main lines, most intense first (2θ = 10–80°):
- hkl 1 1 0, 2θ 39.82, 2.264 Å, I = 100
- hkl 1 0 2, 2θ 40.09, 2.249 Å, I = 75
- hkl 1 0 1, 2θ 27.96, 3.191 Å, I = 30
- hkl 2 0 2, 2θ 57.78, 1.596 Å, I = 24
- hkl 1 1 2, 2θ 52.38, 1.747 Å, I = 24
- hkl 2 1 2, 2θ 72.47, 1.304 Å, I = 24
- hkl 3 0 0, 2θ 72.29, 1.307 Å, I = 16
- hkl 0 0 2, 2θ 32.61, 2.746 Å, I = 16
- hkl 1 0 0, 2θ 22.68, 3.921 Å, I = 8
- hkl 2 0 1, 2θ 49.36, 1.846 Å, I = 7



No. 2
For Li2CuGe, the GGA-PBE geometry in the Materials Project gives the computed powder XRD pattern in this record (CuKα).

Structural model:
```
data_Li2CuGe
_chemical_formula_sum 'Li8 Cu4 Ge4'
_cell_length_a 5.958
_cell_length_b 5.958
_cell_length_c 5.958
_cell_angle_alpha 90.00
_cell_angle_beta 90.00
_cell_angle_gamma 90.00
_space_group_name_H-M_alt 'F -4 3 m'
_space_group_IT_number 216
_space_group_name_Hall 'F -4 2 3'
loop_
_atom_site_label
_atom_site_type_symbol
_atom_site_fract_x
_atom_site_fract_y
_atom_site_fract_z
Li1 Li 0.000 0.000 0.000
Li2 Li 0.250 0.250 0.250
Cu1 Cu 0.250 0.250 0.750
Ge1 Ge 0.000 0.000 0.500
```

Main lines, most intense first (2θ = 10–80°):
- hkl 2 2 0, 2θ 42.94, 2.106 Å, I = 100
- hkl 1 1 1, 2θ 25.90, 3.440 Å, I = 99
- hkl 3 1 1, 2θ 50.83, 1.796 Å, I = 45
- hkl 4 2 2, 2θ 78.68, 1.216 Å, I = 31
- hkl 3 3 1, 2θ 68.67, 1.367 Å, I = 17
- hkl 4 0 0, 2θ 62.34, 1.489 Å, I = 16



No. 3
For La2ZnP2O, the GGA-PBE geometry in the Materials Project gives the computed powder XRD pattern in this record (CuKα).

Structural model:
```
data_La2ZnP2O
_chemical_formula_sum 'La2 Zn1 P2 O1'
_cell_length_a 3.515
_cell_length_b 3.515
_cell_length_c 14.469
_cell_angle_alpha 90.00
_cell_angle_beta 90.00
_cell_angle_gamma 90.00
_space_group_name_H-M_alt 'P 4/m m m'
_space_group_IT_number 123
_space_group_name_Hall '-P 4 2'
loop_
_atom_site_label
_atom_site_type_symbol
_atom_site_fract_x
_atom_site_fract_y
_atom_site_fract_z
La1 La 0.000 0.000 0.146
Zn1 Zn 0.000 0.000 0.500
P1 P 0.000 0.000 0.347
O1 O 0.000 0.000 0.000
```

Main lines, most intense first (2θ = 10–80°):
- hkl 1 0 0, 2θ 25.34, 3.515 Å, I = 100
- hkl 1 1 0, 2θ 36.14, 2.485 Å, I = 39
- hkl 1 0 3, 2θ 31.50, 2.840 Å, I = 38
- hkl 0 0 3, 2θ 18.40, 4.823 Å, I = 34
- hkl 1 0 6, 2θ 45.62, 1.988 Å, I = 24
- hkl 1 1 3, 2θ 40.85, 2.209 Å, I = 19
- hkl 2 1 0, 2θ 58.74, 1.572 Å, I = 18
- hkl 1 0 4, 2θ 35.62, 2.521 Å, I = 17
- hkl 1 1 6, 2θ 52.90, 1.731 Å, I = 16
- hkl 2 0 0, 2θ 52.04, 1.757 Å, I = 13



No. 4
For Li10Zn3Ge4O16, the GGA-PBE geometry in the Materials Project gives the computed powder XRD pattern in this record (CuKα).

Structural model:
```
data_Li10Zn3Ge4O16
_chemical_formula_sum 'Li10 Zn3 Ge4 O16'
_cell_length_a 5.374
_cell_length_b 6.491
_cell_length_c 11.056
_cell_angle_alpha 91.98
_cell_angle_beta 91.86
_cell_angle_gamma 91.50
_space_group_name_H-M_alt 'P 1'
_space_group_IT_number 1
loop_
_space_group_symop_operation_xyz
'x,y,z'
loop_
_atom_site_label
_atom_site_type_symbol
_atom_site_fract_x
_atom_site_fract_y
_atom_site_fract_z
Li1 Li 0.000 0.000 0.000
Li2 Li 0.001 0.229 0.225
Li3 Li 0.027 0.512 0.482
Li4 Li 0.184 0.440 0.712
Li5 Li 0.249 0.167 0.855
Li6 Li 0.350 0.891 0.167
Li7 Li 0.525 0.708 0.579
Li8 Li 0.548 0.508 0.826
Li9 Li 0.564 0.913 0.843
Li10 Li 0.806 0.222 0.722
Zn1 Zn 0.025 0.513 0.992
Zn2 Zn 0.398 0.461 0.313
Zn3 Zn 0.853 0.994 0.477
Ge1 Ge 0.025 0.774 0.738
Ge2 Ge 0.362 0.204 0.564
Ge3 Ge 0.513 0.241 0.057
Ge4 Ge 0.881 0.727 0.239
O1 O 0.010 0.762 0.095
O2 O 0.018 0.512 0.309
O3 O 0.026 0.228 0.577
O4 O 0.350 0.721 0.740
O5 O 0.368 0.424 0.962
O6 O 0.390 0.212 0.203
O7 O 0.401 0.008 0.981
O8 O 0.422 0.442 0.492
O9 O 0.453 0.249 0.722
O10 O 0.490 0.981 0.506
O11 O 0.556 0.685 0.231
O12 O 0.846 0.264 0.057
O13 O 0.906 0.742 0.586
O14 O 0.907 0.540 0.811
O15 O 0.927 0.995 0.819
O16 O 0.961 0.970 0.313
```

Main lines, most intense first (2θ = 10–80°):
- hkl 1 1 0, 2θ 21.78, 4.081 Å, I = 100
- hkl 2 0 0, 2θ 33.35, 2.686 Å, I = 77
- hkl 1 -1 1, 2θ 22.69, 3.919 Å, I = 74
- hkl 0 0 4, 2θ 32.46, 2.759 Å, I = 73
- hkl 0 1 2, 2θ 21.50, 4.133 Å, I = 65
- hkl 0 2 -2, 2θ 31.50, 2.840 Å, I = 46
- hkl 0 1 -2, 2θ 20.76, 4.280 Å, I = 43
- hkl 1 -1 0, 2θ 21.19, 4.192 Å, I = 38
- hkl 1 -1 2, 2θ 26.74, 3.334 Å, I = 35
- hkl 0 1 1, 2θ 16.08, 5.511 Å, I = 31



No. 5
For Ba2YCu2HgO7, the GGA-PBE geometry in the Materials Project gives the computed powder XRD pattern in this record (CuKα).

Structural model:
```
data_Ba2YCu2HgO7
_chemical_formula_sum 'Ba2 Y1 Cu2 Hg1 O7'
_cell_length_a 3.893
_cell_length_b 3.893
_cell_length_c 12.899
_cell_angle_alpha 90.00
_cell_angle_beta 90.00
_cell_angle_gamma 90.00
_space_group_name_H-M_alt 'P 4/m m m'
_space_group_IT_number 123
_space_group_name_Hall '-P 4 2'
loop_
_atom_site_label
_atom_site_type_symbol
_atom_site_fract_x
_atom_site_fract_y
_atom_site_fract_z
Ba1 Ba 0.000 0.000 0.202
Y1 Y 0.000 0.000 0.500
Cu1 Cu 0.500 0.500 0.371
Hg1 Hg 0.500 0.500 0.000
O1 O 0.000 0.000 0.000
O2 O 0.000 0.500 0.388
O3 O 0.500 0.500 0.165
```

Main lines, most intense first (2θ = 10–80°):
- hkl 1 0 3, 2θ 30.99, 2.886 Å, I = 100
- hkl 1 1 0, 2θ 32.53, 2.753 Å, I = 66
- hkl 1 0 2, 2θ 26.75, 3.333 Å, I = 38
- hkl 2 1 3, 2θ 57.08, 1.614 Å, I = 37
- hkl 2 0 0, 2θ 46.67, 1.946 Å, I = 33
- hkl 0 0 5, 2θ 34.78, 2.580 Å, I = 18
- hkl 1 1 5, 2θ 48.36, 1.882 Å, I = 18
- hkl 2 0 5, 2θ 59.49, 1.554 Å, I = 14
- hkl 1 1 6, 2θ 54.13, 1.694 Å, I = 13
- hkl 1 0 7, 2θ 55.14, 1.666 Å, I = 13



No. 6
For Tm4Al, the GGA-PBE geometry in the Materials Project gives the computed powder XRD pattern in this record (CuKα).

Structural model:
Cell lengths 11.015, 11.015, 11.015 Å; angles 90.00, 90.00, 90.00 degrees
Space group Fd-3m (No. 227, origin choice 2)
Asymmetric unit:
Tm: 0.019 0.019 0.231 [32 per cell]
Al: 0.125 0.125 0.625 [8 per cell]

Main lines, most intense first (2θ = 10–80°):
- hkl 2 2 2, 2θ 28.06, 3.180 Å, I = 100
- hkl 4 0 0, 2θ 32.52, 2.754 Å, I = 44
- hkl 4 4 0, 2θ 46.65, 1.947 Å, I = 31
- hkl 3 3 3, 2θ 42.65, 2.120 Å, I = 28
- hkl 6 2 2, 2θ 55.32, 1.661 Å, I = 27
- hkl 3 3 1, 2θ 35.53, 2.527 Å, I = 17
- hkl 5 5 1, 2θ 59.98, 1.542 Å, I = 15
- hkl 1 1 1, 2θ 13.93, 6.359 Å, I = 13
- hkl 7 3 1, 2θ 65.04, 1.434 Å, I = 13
- hkl 7 3 3, 2θ 69.90, 1.346 Å, I = 10